(1)
For Ho14Pb3S24, DFT lattice parameters and positions (PBE) gives the simulated powder X-ray diffraction pattern in this record (Cu Ka).

```
data_Ho14Pb3S24
_symmetry_space_group_name_H-M 'P 1'
_symmetry_Int_Tables_number 1
_cell_length_a 7.271
_cell_length_b 7.272
_cell_length_c 18.361
_cell_angle_alpha 97.48
_cell_angle_beta 97.50
_cell_angle_gamma 109.91
loop_
_symmetry_equiv_pos_as_xyz
'x,y,z'
loop_
_atom_site_label
_atom_site_type_symbol
_atom_site_fract_x
_atom_site_fract_y
_atom_site_fract_z
_atom_site_occupancy
Ho1 Ho 0.000 0.000 0.000 1
Ho2 Ho 0.007 0.748 0.757 1
Ho3 Ho 0.197 0.450 0.167 1
Ho4 Ho 0.291 0.781 0.591 1
Ho5 Ho 0.323 0.076 0.416 1
Ho6 Ho 0.342 0.326 0.683 1
Ho7 Ho 0.452 0.821 0.042 1
Ho8 Ho 0.528 0.791 0.841 1
Ho9 Ho 0.623 0.115 0.250 1
Ho10 Ho 0.653 0.408 0.076 1
Ho11 Ho 0.666 0.658 0.340 1
Ho12 Ho 0.789 0.162 0.717 1
Ho13 Ho 0.873 0.126 0.508 1
Ho14 Ho 0.959 0.437 0.917 1
Pb1 Pb 0.034 0.905 0.208 1
Pb2 Pb 0.124 0.495 0.379 1
Pb3 Pb 0.703 0.580 0.547 1
S1 S 0.004 0.994 0.635 1
S2 S 0.007 0.476 0.632 1
S3 S 0.028 0.805 0.467 1
S4 S 0.040 0.656 0.075 1
S5 S 0.181 0.458 0.796 1
S6 S 0.203 0.819 0.916 1
S7 S 0.256 0.365 0.514 1
S8 S 0.258 0.384 0.014 1
S9 S 0.345 0.311 0.290 1
S10 S 0.348 0.811 0.295 1
S11 S 0.368 0.118 0.124 1
S12 S 0.378 0.995 0.745 1
S13 S 0.524 0.806 0.461 1
S14 S 0.544 0.155 0.588 1
S15 S 0.575 0.704 0.170 1
S16 S 0.586 0.714 0.682 1
S17 S 0.670 0.137 0.961 1
S18 S 0.670 0.658 0.964 1
S19 S 0.699 0.319 0.412 1
S20 S 0.701 0.458 0.794 1
S21 S 0.850 0.125 0.124 1
S22 S 0.859 0.491 0.244 1
S23 S 0.910 0.033 0.841 1
S24 S 0.914 0.038 0.345 1
```

The 10 most intense peaks (10 to 90 degrees two-theta), sorted by position:
d/Å, I/Imax
3.434, 100.0
3.419, 54.2
2.663, 88.1
2.643, 41.7
2.249, 33.2
2.245, 19.5
2.239, 24.7
1.871, 21.4
1.790, 26.3
1.652, 21.3


(2)
For Ho2PbS4, DFT lattice parameters and positions (PBE) gives the simulated powder X-ray diffraction pattern in this record (Cu Ka).

```
data_Ho2PbS4
_symmetry_space_group_name_H-M 'P 1'
_symmetry_Int_Tables_number 1
_cell_length_a 12.023
_cell_length_b 3.982
_cell_length_c 14.345
_cell_angle_alpha 90.00
_cell_angle_beta 90.00
_cell_angle_gamma 90.00
loop_
_symmetry_equiv_pos_as_xyz
'x,y,z'
loop_
_atom_site_label
_atom_site_type_symbol
_atom_site_fract_x
_atom_site_fract_y
_atom_site_fract_z
_atom_site_occupancy
Ho1 Ho 0.067 0.250 0.111 1
Ho2 Ho 0.081 0.250 0.600 1
Ho3 Ho 0.419 0.750 0.100 1
Ho4 Ho 0.433 0.750 0.611 1
Ho5 Ho 0.567 0.250 0.389 1
Ho6 Ho 0.581 0.250 0.900 1
Ho7 Ho 0.919 0.750 0.400 1
Ho8 Ho 0.933 0.750 0.889 1
Pb1 Pb 0.241 0.250 0.337 1
Pb2 Pb 0.259 0.750 0.837 1
Pb3 Pb 0.741 0.250 0.163 1
Pb4 Pb 0.759 0.750 0.663 1
S1 S 0.023 0.750 0.715 1
S2 S 0.086 0.250 0.923 1
S3 S 0.130 0.750 0.473 1
S4 S 0.207 0.750 0.173 1
S5 S 0.293 0.250 0.673 1
S6 S 0.370 0.250 0.973 1
S7 S 0.414 0.750 0.423 1
S8 S 0.477 0.250 0.215 1
S9 S 0.523 0.750 0.785 1
S10 S 0.586 0.250 0.577 1
S11 S 0.630 0.750 0.027 1
S12 S 0.707 0.750 0.327 1
S13 S 0.793 0.250 0.827 1
S14 S 0.870 0.250 0.527 1
S15 S 0.914 0.750 0.077 1
S16 S 0.977 0.250 0.285 1
```

The 10 most intense peaks (10 to 90 degrees two-theta), sorted by position:
d/Å, I/Imax
3.586, 40.3
3.498, 100.0
3.344, 50.9
3.320, 29.0
2.965, 42.7
2.772, 25.0
2.434, 52.9
1.995, 23.2
1.991, 24.1
1.730, 28.5


(3)
For Ho14Pb3S24, DFT lattice parameters and positions (PBE) gives the simulated powder X-ray diffraction pattern in this record (Cu Ka).

```
data_Ho14Pb3S24
_symmetry_space_group_name_H-M 'P 1'
_symmetry_Int_Tables_number 1
_cell_length_a 7.271
_cell_length_b 7.271
_cell_length_c 18.363
_cell_angle_alpha 97.49
_cell_angle_beta 97.52
_cell_angle_gamma 109.91
loop_
_symmetry_equiv_pos_as_xyz
'x,y,z'
loop_
_atom_site_label
_atom_site_type_symbol
_atom_site_fract_x
_atom_site_fract_y
_atom_site_fract_z
_atom_site_occupancy
Ho1 Ho 0.000 0.000 0.000 1
Ho2 Ho 0.010 0.255 0.264 1
Ho3 Ho 0.042 0.550 0.089 1
Ho4 Ho 0.142 0.876 0.515 1
Ho5 Ho 0.326 0.583 0.923 1
Ho6 Ho 0.340 0.326 0.681 1
Ho7 Ho 0.374 0.894 0.763 1
Ho8 Ho 0.468 0.204 0.175 1
Ho9 Ho 0.553 0.166 0.966 1
Ho10 Ho 0.672 0.670 0.340 1
Ho11 Ho 0.689 0.918 0.607 1
Ho12 Ho 0.710 0.217 0.429 1
Ho13 Ho 0.812 0.535 0.841 1
Ho14 Ho 0.881 0.510 0.638 1
Pb1 Pb 0.213 0.834 0.302 1
Pb2 Pb 0.299 0.421 0.472 1
Pb3 Pb 0.630 0.751 0.132 1
S1 S 0.075 0.947 0.666 1
S2 S 0.077 0.966 0.166 1
S3 S 0.140 0.508 0.766 1
S4 S 0.152 0.873 0.883 1
S5 S 0.293 0.676 0.604 1
S6 S 0.305 0.526 0.212 1
S7 S 0.329 0.337 0.045 1
S8 S 0.331 0.850 0.048 1
S9 S 0.423 0.298 0.838 1
S10 S 0.425 0.290 0.336 1
S11 S 0.481 0.834 0.438 1
S12 S 0.482 0.207 0.556 1
S13 S 0.634 0.012 0.268 1
S14 S 0.637 0.870 0.888 1
S15 S 0.663 0.673 0.716 1
S16 S 0.670 0.192 0.721 1
S17 S 0.752 0.612 0.000 1
S18 S 0.765 0.621 0.512 1
S19 S 0.789 0.176 0.092 1
S20 S 0.809 0.525 0.219 1
S21 S 0.962 0.333 0.938 1
S22 S 0.972 0.208 0.559 1
S23 S 0.987 0.514 0.385 1
S24 S 0.994 0.016 0.391 1
```

The 10 most intense peaks (10 to 90 degrees two-theta), sorted by position:
d/Å, I/Imax
3.434, 100.0
3.419, 53.7
2.663, 87.6
2.643, 41.7
2.249, 39.1
2.239, 24.7
1.880, 18.7
1.871, 21.2
1.790, 26.3
1.652, 20.8